No. 1
Ce3B2Pt9Rh: simulated PXRD pattern (Cu Kα), based on a PBE-relaxed structure.
Kinematic intensities with the Lorentz-polarization factor, no thermal factor.

Structure:
```
Ce3B2Pt9Rh
1.0
5.687 0.000 0.000
-2.843 4.925 0.000
0.000 0.000 9.733
Ce B Pt Rh
3 2 9 1
Direct
0.000 0.000 0.000
0.333 0.667 0.594
0.667 0.333 0.406
0.333 0.667 0.147
0.667 0.333 0.853
0.000 0.500 0.000
0.164 0.328 0.280
0.164 0.836 0.280
0.328 0.164 0.720
0.500 0.000 0.000
0.500 0.500 0.000
0.672 0.836 0.280
0.836 0.164 0.720
0.836 0.672 0.720
0.000 0.000 0.500
```

Main lines, sorted by position (2θ from 10° to 90°):
hkl 0 0 3, 2θ = 27.5°, I 316
hkl 0 1 3, 2θ = 33.1°, I 192
hkl 1 1 2, 2θ = 36.6°, I 150
hkl 0 0 4, 2θ = 36.9°, I 197
hkl 0 2 1, 2θ = 37.7°, I 1000
hkl 2 0 2, 2θ = 41.1°, I 856
hkl 2 0 3, 2θ = 46.3°, I 136
hkl 0 2 5, 2θ = 60.6°, I 175
hkl 2 2 0, 2θ = 65.7°, I 268
hkl 2 0 6, 2θ = 69.4°, I 185
hkl 2 2 3, 2θ = 72.6°, I 126
hkl 2 2 4, 2θ = 77.8°, I 139



No. 2
Ce2ZnBPt6: simulated PXRD pattern (Cu Kα), based on a PBE-relaxed structure.
Kinematic intensities with the Lorentz-polarization factor, no thermal factor.

Structure:
```
Ce2ZnBPt6
1.0
5.664 0.000 0.000
0.000 8.696 0.000
0.000 0.000 7.483
Ce Zn B Pt
4 2 2 12
Direct
0.250 0.031 0.216
0.250 0.469 0.216
0.750 0.531 0.784
0.750 0.969 0.784
0.250 0.750 0.819
0.750 0.250 0.181
0.250 0.250 0.691
0.750 0.750 0.309
0.004 0.250 0.904
0.008 0.750 0.516
0.250 0.006 0.639
0.250 0.494 0.639
0.492 0.750 0.516
0.496 0.250 0.904
0.504 0.750 0.096
0.508 0.250 0.484
0.750 0.506 0.361
0.750 0.994 0.361
0.992 0.250 0.484
0.996 0.750 0.096
```

Main lines, sorted by position (2θ from 10° to 90°):
hkl 0 0 1, 2θ = 11.8°, I 229
hkl 0 1 2, 2θ = 25.9°, I 173
hkl 1 0 2, 2θ = 28.6°, I 234
hkl 0 2 2, 2θ = 31.5°, I 541
hkl 1 2 2, 2θ = 35.4°, I 504
hkl 2 2 0, 2θ = 37.9°, I 1000
hkl 2 0 2, 2θ = 39.9°, I 464
hkl 2 1 2, 2θ = 41.3°, I 252
hkl 0 4 0, 2θ = 41.5°, I 449
hkl 0 2 3, 2θ = 41.7°, I 213
hkl 2 4 2, 2θ = 59.0°, I 208
hkl 4 0 0, 2θ = 66.0°, I 246